Record 1
For Cu2Hg, a DFT-relaxed cell (PBE, Alexandria) gives the computed powder diffraction line list in this record (Cu Ka).
No peak broadening, texture or thermal motion is included.

Main lines, by angle (15° ≤ 2θ ≤ 90°):
2θ/deg	d_spacing	I (rel.)	(hkl)
35.24	2.547	49	1 0 1
36.22	2.480	58	0 1 2
39.95	2.257	100	1 0 4
42.56	2.124	74	0 1 5
43.19	2.095	33	0 0 9
62.59	1.484	34	1 1 0

Structure:
a = 2.9683 Å, b = 2.9683 Å, c = 18.8537 Å
α = 90.00°, β = 90.00°, γ = 120.00°
Space group R3m (No. 160, hexagonal axes)
Inequivalent atoms, fractional coordinates:
Cu 0.0000 0.0000 0.0000 (multiplicity 3)
Cu 0.0000 0.0000 0.2369 (multiplicity 3)
Hg 0.0000 0.0000 0.7850 (multiplicity 3)



Record 2
For Ho12Cu6Hg, a DFT-relaxed cell (PBE, Alexandria) gives the computed powder diffraction line list in this record (Cu Ka).
No peak broadening, texture or thermal motion is included.

Main lines, by angle (15° ≤ 2θ ≤ 90°):
2θ/deg	d_spacing	I (rel.)	(hkl)
28.91	3.088	33	3 1 0
31.74	2.819	49	2 2 2
34.36	2.610	100	3 2 1
36.81	2.441	22	4 0 0
54.81	1.675	31	5 0 3
58.24	1.584	36	5 3 2

Structure:
a = 9.7658 Å, b = 9.7658 Å, c = 9.7658 Å
α = 90.00°, β = 90.00°, γ = 90.00°
Space group Im-3 (No. 204)
Inequivalent atoms, fractional coordinates:
Ho 0.0000 0.1889 0.2943 (multiplicity 24)
Cu 0.0000 0.3753 0.5000 (multiplicity 12)
Hg 0.0000 0.0000 0.0000 (multiplicity 2)